# 1
This entry pairs a crystal structure of K4Pb2Cl9 with its simulated XRD peak list. Radiation: Cu Kα, 1.54184 Å. Structure: a PBE-relaxed structure.
Intensities are scaled so that the largest is 100.

Cell and atoms:
abc: 7.9685 7.9685 19.3374
angles: 90.00 90.00 120.00
Sites, in units of the cell vectors:
K1 0.3333 0.6667 0.0284
K2 0.3333 0.6667 0.3131
K3 0.3333 0.6667 0.5287
K4 0.3333 0.6667 0.8131
K5 0.6667 0.3333 0.1869
K6 0.6667 0.3333 0.4713
K7 0.6667 0.3333 0.6869
K8 0.6667 0.3333 0.9716
Pb1 0.0000 0.0000 0.1471
Pb2 0.0000 0.0000 0.3521
Pb3 0.0000 0.0000 0.6479
Pb4 0.0000 0.0000 0.8529
Cl1 0.0010 0.2740 0.7493
Cl2 0.0449 0.7119 0.9176
Cl3 0.0458 0.3319 0.4177
Cl4 0.2730 0.9990 0.7493
Cl5 0.2740 0.2730 0.2507
Cl6 0.2861 0.9542 0.4177
Cl7 0.2881 0.3329 0.9176
Cl8 0.3319 0.2861 0.5823
Cl9 0.3329 0.0449 0.0824
Cl10 0.6671 0.9551 0.9176
Cl11 0.6681 0.7139 0.4177
Cl12 0.7119 0.6671 0.0824
Cl13 0.7139 0.0458 0.5823
Cl14 0.7260 0.7270 0.7493
Cl15 0.7270 0.0010 0.2507
Cl16 0.9542 0.6681 0.5823
Cl17 0.9551 0.2881 0.0824
Cl18 0.9990 0.7260 0.2507

Top 8 peaks for 10° ≤ 2θ ≤ 90°, in order of falling intensity:
two_theta	I (rel.)
12.8	100.0
39.2	68.3
22.5	58.8
35.8	39.6
22.3	38.8
31.9	33.2
15.8	22.3
26.3	20.6


# 2
This entry pairs a crystal structure of K2Pb5Cl12 with its simulated XRD peak list. Radiation: Cu Kα, 1.54184 Å. Structure: a PBE-relaxed structure.
Intensities are scaled so that the largest is 100.

Cell and atoms:
abc: 9.0037 9.0037 9.9914
angles: 110.99 110.99 57.86
Sites, in units of the cell vectors:
K1 0.2294 0.7706 0.0000
K2 0.7706 0.2294 0.0000
Pb1 0.0000 0.0000 0.5000
Pb2 0.2745 0.2745 0.0440
Pb3 0.3136 0.3136 0.6172
Pb4 0.6864 0.6864 0.3828
Pb5 0.7255 0.7255 0.9560
Cl1 0.0765 0.6555 0.5268
Cl2 0.0826 0.5027 0.8484
Cl3 0.0848 0.0848 0.8386
Cl4 0.3445 0.9235 0.4732
Cl5 0.4883 0.4883 0.1950
Cl6 0.4973 0.9174 0.1516
Cl7 0.5027 0.0826 0.8484
Cl8 0.5117 0.5117 0.8050
Cl9 0.6555 0.0765 0.5268
Cl10 0.9152 0.9152 0.1614
Cl11 0.9174 0.4973 0.1516
Cl12 0.9235 0.3445 0.4732

Top 8 peaks for 10° ≤ 2θ ≤ 90°, in order of falling intensity:
two_theta	I (rel.)
20.6	100.0
21.2	88.9
32.1	76.0
20.4	66.9
41.5	62.4
13.7	62.3
27.5	58.8
12.3	53.4


# 3
This entry pairs a crystal structure of K2PmPbCl8 with its simulated XRD peak list. Radiation: Cu Kα, 1.54184 Å. Structure: a PBE-relaxed structure.
Intensities are scaled so that the largest is 100.

Cell and atoms:
abc: 6.8292 8.6078 7.1012
angles: 90.00 92.90 90.00
Sites, in units of the cell vectors:
K1 0.0000 0.2471 0.0000
K2 0.0000 0.7529 0.0000
Pm1 0.5000 0.0000 0.5000
Pb1 0.5000 0.5000 0.5000
Cl1 0.2674 0.0000 0.1855
Cl2 0.2761 0.5000 0.1826
Cl3 0.2832 0.2471 0.6364
Cl4 0.2832 0.7529 0.6364
Cl5 0.7168 0.2471 0.3636
Cl6 0.7168 0.7529 0.3636
Cl7 0.7239 0.5000 0.8174
Cl8 0.7326 0.0000 0.8145

Top 8 peaks for 10° ≤ 2θ ≤ 90°, in order of falling intensity:
two_theta	I (rel.)
17.6	100.0
13.0	86.4
12.5	85.3
27.2	74.1
24.5	73.3
18.5	70.3
35.4	66.6
43.7	40.0


# 4
This entry pairs a crystal structure of KRbPbCl6 with its simulated XRD peak list. Radiation: Cu Kα, 1.54184 Å. Structure: a PBE-relaxed structure.
Intensities are scaled so that the largest is 100.

Cell and atoms:
abc: 7.0382 7.0382 13.7238
angles: 90.00 90.00 90.00
Sites, in units of the cell vectors:
K1 0.0000 0.0000 0.0000
K2 0.5000 0.5000 0.5000
Rb1 0.0000 0.0000 0.3313
Rb2 0.5000 0.5000 0.8313
Pb1 0.0000 0.0000 0.6662
Pb2 0.5000 0.5000 0.1662
Cl1 0.1754 0.1754 0.8046
Cl2 0.1826 0.1826 0.5326
Cl3 0.2412 0.2412 0.1621
Cl4 0.2588 0.7412 0.6621
Cl5 0.3174 0.6826 0.0326
Cl6 0.3246 0.6754 0.3046
Cl7 0.6754 0.3246 0.3046
Cl8 0.6826 0.3174 0.0326
Cl9 0.7412 0.2588 0.6621
Cl10 0.7588 0.7588 0.1621
Cl11 0.8174 0.8174 0.5326
Cl12 0.8246 0.8246 0.8046

Top 8 peaks for 10° ≤ 2θ ≤ 90°, in order of falling intensity:
two_theta	I (rel.)
17.8	100.0
14.1	80.9
34.6	80.6
23.2	61.3
43.3	32.5
12.9	30.3
36.1	27.7
26.5	18.6


# 5
This entry pairs a crystal structure of KTePbCl with its simulated XRD peak list. Radiation: Cu Kα, 1.54184 Å. Structure: a PBE-relaxed structure.
Intensities are scaled so that the largest is 100.

Cell and atoms:
abc: 4.4698 4.4698 8.4897
angles: 90.00 90.00 120.00
Sites, in units of the cell vectors:
K1 0.0000 0.0000 0.0000
Te1 0.3333 0.6667 0.6814
Pb1 0.0000 0.0000 0.4792
Cl1 0.3333 0.6667 0.1974

Top 8 peaks for 10° ≤ 2θ ≤ 90°, in order of falling intensity:
two_theta	I (rel.)
31.3	100.0
10.4	71.6
23.0	43.0
25.3	42.6
40.4	34.7
51.9	23.6
39.4	22.5
67.7	21.1


# 6
This entry pairs a crystal structure of K2Tl2PbCl6 with its simulated XRD peak list. Radiation: Cu Kα, 1.54184 Å. Structure: a PBE-relaxed structure.
Intensities are scaled so that the largest is 100.

Cell and atoms:
abc: 7.7206 7.7206 7.8151
angles: 99.97 99.97 117.94
Sites, in units of the cell vectors:
K1 0.1602 0.8398 0.0000
K2 0.8398 0.1602 0.0000
Tl1 0.3240 0.6760 0.5000
Tl2 0.6760 0.3240 0.5000
Pb1 0.5000 0.5000 0.0000
Cl1 0.1137 0.4352 0.7775
Cl2 0.2790 0.2790 0.2317
Cl3 0.4352 0.1137 0.7775
Cl4 0.5648 0.8863 0.2225
Cl5 0.7210 0.7210 0.7683
Cl6 0.8863 0.5648 0.2225

Top 8 peaks for 10° ≤ 2θ ≤ 90°, in order of falling intensity:
two_theta	I (rel.)
28.2	100.0
13.6	89.0
18.0	58.3
39.7	56.8
27.7	53.7
24.5	36.9
40.2	36.6
50.1	22.9


# 7
This entry pairs a crystal structure of KTlPbCl4 with its simulated XRD peak list. Radiation: Cu Kα, 1.54184 Å. Structure: a PBE-relaxed structure.
Intensities are scaled so that the largest is 100.

Cell and atoms:
abc: 5.6653 5.6653 16.1380
angles: 90.00 90.00 90.00
Sites, in units of the cell vectors:
K1 0.0000 0.0000 0.0000
K2 0.5000 0.5000 0.5000
Tl1 0.0000 0.0000 0.7201
Tl2 0.5000 0.5000 0.2201
Pb1 0.0000 0.0000 0.3640
Pb2 0.5000 0.5000 0.8640
Cl1 0.0000 0.0000 0.1897
Cl2 0.0000 0.0000 0.5459
Cl3 0.0000 0.5000 0.3787
Cl4 0.0000 0.5000 0.8787
Cl5 0.5000 0.0000 0.3787
Cl6 0.5000 0.0000 0.8787
Cl7 0.5000 0.5000 0.0459
Cl8 0.5000 0.5000 0.6897

Top 8 peaks for 10° ≤ 2θ ≤ 90°, in order of falling intensity:
two_theta	I (rel.)
22.8	100.0
22.2	86.7
31.6	63.6
11.0	53.1
39.3	51.8
31.9	43.6
16.6	38.8
45.5	32.7


Repeat the seventh record exactly.
This entry pairs a crystal structure of KTlPbCl4 with its simulated XRD peak list. Radiation: Cu Kα, 1.54184 Å. Structure: a PBE-relaxed structure.
Intensities are scaled so that the largest is 100.

Cell and atoms:
abc: 5.6653 5.6653 16.1380
angles: 90.00 90.00 90.00
Sites, in units of the cell vectors:
K1 0.0000 0.0000 0.0000
K2 0.5000 0.5000 0.5000
Tl1 0.0000 0.0000 0.7201
Tl2 0.5000 0.5000 0.2201
Pb1 0.0000 0.0000 0.3640
Pb2 0.5000 0.5000 0.8640
Cl1 0.0000 0.0000 0.1897
Cl2 0.0000 0.0000 0.5459
Cl3 0.0000 0.5000 0.3787
Cl4 0.0000 0.5000 0.8787
Cl5 0.5000 0.0000 0.3787
Cl6 0.5000 0.0000 0.8787
Cl7 0.5000 0.5000 0.0459
Cl8 0.5000 0.5000 0.6897

Top 8 peaks for 10° ≤ 2θ ≤ 90°, in order of falling intensity:
two_theta	I (rel.)
22.8	100.0
22.2	86.7
31.6	63.6
11.0	53.1
39.3	51.8
31.9	43.6
16.6	38.8
45.5	32.7


Please write out number 3 again, unchanged.
This entry pairs a crystal structure of K2PmPbCl8 with its simulated XRD peak list. Radiation: Cu Kα, 1.54184 Å. Structure: a PBE-relaxed structure.
Intensities are scaled so that the largest is 100.

Cell and atoms:
abc: 6.8292 8.6078 7.1012
angles: 90.00 92.90 90.00
Sites, in units of the cell vectors:
K1 0.0000 0.2471 0.0000
K2 0.0000 0.7529 0.0000
Pm1 0.5000 0.0000 0.5000
Pb1 0.5000 0.5000 0.5000
Cl1 0.2674 0.0000 0.1855
Cl2 0.2761 0.5000 0.1826
Cl3 0.2832 0.2471 0.6364
Cl4 0.2832 0.7529 0.6364
Cl5 0.7168 0.2471 0.3636
Cl6 0.7168 0.7529 0.3636
Cl7 0.7239 0.5000 0.8174
Cl8 0.7326 0.0000 0.8145

Top 8 peaks for 10° ≤ 2θ ≤ 90°, in order of falling intensity:
two_theta	I (rel.)
17.6	100.0
13.0	86.4
12.5	85.3
27.2	74.1
24.5	73.3
18.5	70.3
35.4	66.6
43.7	40.0